(1)
The following is a calculated PXRD pattern of Sr2MgCuP2O8. It was derived from a GGA-PBE-relaxed structure, using Cu Kα X-rays.
Intensities are scaled so that the largest is 100.

Structure:
Unit cell a=6.217 b=6.217 c=6.774 alpha=106.14 beta=106.14 gamma=53.73
Element x y z (fractional)
1 Sr 0.168 0.168 0.265
2 Sr 0.832 0.832 0.735
3 Mg 0.500 0.500 0.000
4 Cu 0.500 0.500 0.500
5 P 0.166 0.166 0.740
6 P 0.834 0.834 0.260
7 O 0.074 0.074 0.871
8 O 0.079 0.630 0.403
9 O 0.308 0.308 0.885
10 O 0.370 0.921 0.597
11 O 0.630 0.079 0.403
12 O 0.692 0.692 0.115
13 O 0.921 0.370 0.597
14 O 0.926 0.926 0.129

Main lines, by intensity (2θ from 10° to 90°):
- d = 2.979 Å, 30.0°, intensity 100.0
- d = 2.901 Å, 30.8°, intensity 73.5
- d = 2.810 Å, 31.9°, intensity 51.2
- d = 3.231 Å, 27.6°, intensity 38.7
- d = 4.240 Å, 21.0°, intensity 23.7
- d = 1.838 Å, 49.6°, intensity 21.5

(2)
The following is a calculated PXRD pattern of MgCu6PbO8. It was derived from a GGA-PBE-relaxed structure, using Cu Kα X-rays.
Intensities are scaled so that the largest is 100.

Structure:
Unit cell a=6.916 b=6.916 c=6.916 alpha=60.00 beta=60.00 gamma=60.00
Element x y z (fractional)
1 Mg 0.000 0.000 0.000
2 Cu 0.265 0.265 0.735
3 Cu 0.265 0.735 0.265
4 Cu 0.265 0.735 0.735
5 Cu 0.735 0.265 0.265
6 Cu 0.735 0.265 0.735
7 Cu 0.735 0.735 0.265
8 Pb 0.250 0.250 0.250
9 O 0.110 0.110 0.110
10 O 0.110 0.110 0.670
11 O 0.110 0.670 0.110
12 O 0.393 0.393 0.393
13 O 0.393 0.393 0.821
14 O 0.393 0.821 0.393
15 O 0.670 0.110 0.110
16 O 0.821 0.393 0.393

Main lines, by intensity (2θ from 10° to 90°):
- d = 2.823 Å, 31.7°, intensity 100.0
- d = 5.647 Å, 15.7°, intensity 89.6
- d = 1.729 Å, 53.0°, intensity 51.7
- d = 2.445 Å, 36.8°, intensity 38.9
- d = 1.474 Å, 63.0°, intensity 37.2
- d = 2.244 Å, 40.2°, intensity 37.0